For Eu2Co12P7, the GGA-PBE geometry in the Materials Project gives the computed powder XRD pattern in this record (Cu Ka).
No peak broadening, texture or thermal motion is included.

Peak list (10 most intense, 10° ≤ 2θ ≤ 90°, most intense first)
| 2θ/deg | I (rel.) |
| --- | --- |
| 39.36 | 100.0 |
| 50.97 | 16.3 |
| 27.34 | 11.2 |
| 53.28 | 10.7 |
| 30.03 | 10.6 |
| 34.17 | 10.3 |
| 88.12 | 9.6 |
| 76.84 | 7.2 |
| 39.63 | 7.1 |
| 42.71 | 6.6 |

Cell and atoms:
Cell: 9.081 3.583 9.087 Å, 90.00 119.85 90.00°
Sites, in units of the cell vectors:
1 Eu 0.000 0.000 0.000
2 Eu 0.333 0.500 0.666
3 Co 0.049 0.500 0.765
4 Co 0.098 0.000 0.389
5 Co 0.234 0.500 0.283
6 Co 0.291 0.000 0.901
7 Co 0.396 0.000 0.214
8 Co 0.534 0.500 0.097
9 Co 0.563 0.500 0.464
10 Co 0.610 0.000 0.709
11 Co 0.717 0.500 0.951
12 Co 0.785 0.000 0.181
13 Co 0.819 0.000 0.604
14 Co 0.901 0.500 0.436
15 P 0.069 0.000 0.625
16 P 0.268 0.500 0.042
17 P 0.374 0.000 0.443
18 P 0.556 0.000 0.931
19 P 0.667 0.000 0.333
20 P 0.773 0.500 0.731
21 P 0.958 0.500 0.226